Computed powder XRD pattern of CrAsW for a wavelength of 1.5418 Å, from a PBE-relaxed structure.

Most intense lines, 10° ≤ 2θ ≤ 90°, sorted by position:
Position (°2θ)	I/Imax	(hkl)
16.1	44	2 0 0
33.9	40	0 1 1
34.9	22	1 1 1
41.9	60	3 0 2
42.1	100	3 1 1
49.6	22	6 0 0
60.3	23	0 1 3
76.6	20	3 2 2

Cell and atoms:
a = 11.0303 Å, b = 3.0462 Å, c = 5.3298 Å
α = 90.00°, β = 90.00°, γ = 90.00°
Space group Amm2 (No. 38)
Unique sites:
Cr: 0.1776 0.0000 0.0000
As: 0.3303 0.0000 0.6721
W: 0.0000 0.0000 0.7047
W: 0.5000 0.0000 0.0076

=====

Computed powder XRD pattern of Pm13Dy3 for a wavelength of 1.5418 Å, from a PBE-relaxed structure.

Most intense lines, 10° ≤ 2θ ≤ 90°, sorted by position:
Position (°2θ)	I/Imax	(hkl)
30.2	100	2 2 2
35.0	51	4 0 0
50.3	36	4 4 0
59.7	29	2 6 2
59.8	14	6 2 2
62.7	12	4 4 4
81.8	18	6 6 2
84.4	11	4 8 0

Cell and atoms:
a = 10.2507 Å, b = 10.2706 Å, c = 10.2731 Å
α = 90.00°, β = 90.00°, γ = 90.00°
Space group Amm2 (No. 38)
Unique sites:
Pm: 0.0000 0.0000 0.0000
Pm: 0.0000 0.0000 0.4977
Pm: 0.0000 0.2488 0.2489
Pm: 0.2512 0.0000 0.7495
Pm: 0.2509 0.2493 0.9988
Pm: 0.5000 0.0000 0.4973
Pm: 0.5000 0.2485 0.2488
Dy: 0.2507 0.0000 0.2481
Dy: 0.5000 0.0000 0.0004

=====

Computed powder XRD pattern of PmEuZnSn for a wavelength of 1.5418 Å, from a PBE-relaxed structure.

Most intense lines, 10° ≤ 2θ ≤ 90°, sorted by position:
Position (°2θ)	I/Imax	(hkl)
23.4	6	2 0 0
33.3	100	2 2 0
47.8	18	4 0 0
53.9	2	4 2 0
59.5	38	4 2 2
69.9	12	4 4 0
79.7	16	6 2 0
89.2	4	4 4 4

Cell and atoms:
a = 7.6088 Å, b = 7.6088 Å, c = 7.6088 Å
α = 90.00°, β = 90.00°, γ = 90.00°
Space group F-43m (No. 216)
Unique sites:
Pm: 0.0000 0.0000 0.0000
Eu: 0.0000 0.0000 0.5000
Zn: 0.2500 0.2500 0.7500
Sn: 0.2500 0.2500 0.2500

=====

Computed powder XRD pattern of Ce4Pa3S8 for a wavelength of 1.5418 Å, from a PBE-relaxed structure.

Most intense lines, 10° ≤ 2θ ≤ 90°, sorted by position:
Position (°2θ)	I/Imax	(hkl)
15.9	16	2 0 -1
22.6	15	0 2 1
27.7	79	2 2 0
32.1	100	0 4 0
46.1	61	4 0 0
54.6	33	2 6 -2
57.2	13	4 4 0
76.5	16	0 8 2

Cell and atoms:
a = 11.1304 Å, b = 11.1388 Å, c = 7.8630 Å
α = 90.00°, β = 134.88°, γ = 90.00°
Space group C2/m (No. 12)
Unique sites:
Ce: 0.0000 0.0000 0.0000
Ce: 0.0000 0.5000 0.5000
Ce: 0.2500 0.2500 0.0000
Pa: 0.0000 0.5000 0.0000
Pa: 0.2500 0.2500 0.5000
S: 0.0000 0.2435 0.5000
S: 0.0000 0.2520 0.0000
S: 0.2456 0.0000 0.5059
S: 0.2481 0.0000 0.9885

=====

Computed powder XRD pattern of Ac2Si2Pt5 for a wavelength of 1.5418 Å, from a PBE-relaxed structure.

Most intense lines, 10° ≤ 2θ ≤ 90°, sorted by position:
Position (°2θ)	I/Imax	(hkl)
28.2	7	1 0 2
34.7	100	1 1 2
40.2	16	0 0 4
40.3	37	2 0 0
58.2	34	2 2 0
69.5	14	1 1 6
69.6	27	3 1 2
73.2	11	2 2 4

Cell and atoms:
a = 4.4771 Å, b = 4.4771 Å, c = 8.9780 Å
α = 90.00°, β = 90.00°, γ = 90.00°
Space group P4/mmm (No. 123)
Unique sites:
Ac: 0.0000 0.0000 0.0000
Ac: 0.0000 0.0000 0.5000
Si: 0.5000 0.5000 0.1486
Pt: 0.0000 0.5000 0.2600
Pt: 0.5000 0.5000 0.5000

=====

Computed powder XRD pattern of ZnCdHg6 for a wavelength of 1.5418 Å, from a PBE-relaxed structure.

Most intense lines, 10° ≤ 2θ ≤ 90°, sorted by position:
Position (°2θ)	I/Imax	(hkl)
27.9	74	0 4 0
31.2	38	2 0 2
32.1	100	3 1 1
33.8	44	1 3 2
36.2	71	2 4 1
37.9	56	3 3 1
39.1	31	1 1 3
42.3	32	2 4 2

Cell and atoms:
a = 9.3379 Å, b = 12.8097 Å, c = 7.2577 Å
α = 90.00°, β = 90.00°, γ = 90.00°
Space group Cmme (No. 67)
Unique sites:
Zn: 0.2500 0.0000 0.0000
Cd: 0.0000 0.2500 0.4364
Hg: 0.0000 0.1246 0.0900
Hg: 0.1817 0.1219 0.6960

=====

Computed powder XRD pattern of KNa2Ag2 for a wavelength of 1.5418 Å, from a PBE-relaxed structure.

Most intense lines, 10° ≤ 2θ ≤ 90°, sorted by position:
Position (°2θ)	I/Imax	(hkl)
15.1	100	2 0 0
15.7	70	0 0 1
26.8	39	1 1 1
30.1	52	3 1 -1
35.7	33	1 1 -2
37.2	27	0 2 0
38.4	61	3 1 -2
39.5	33	1 1 2

Cell and atoms:
a = 12.2245 Å, b = 4.8296 Å, c = 5.8958 Å
α = 90.00°, β = 106.53°, γ = 90.00°
Space group C2/m (No. 12)
Unique sites:
K: 0.0000 0.0000 0.0000
Na: 0.1587 0.5000 0.5686
Ag: 0.2332 0.5000 0.1089

=====

Computed powder XRD pattern of PuPa6Ti for a wavelength of 1.5418 Å, from a PBE-relaxed structure.

Most intense lines, 10° ≤ 2θ ≤ 90°, sorted by position:
Position (°2θ)	I/Imax	(hkl)
34.0	100	2 2 0
34.2	96	0 2 4
38.2	37	0 4 0
40.2	62	2 0 4
56.6	47	2 4 4
66.3	15	2 6 0
69.0	27	4 2 4
69.3	24	2 2 8

Cell and atoms:
a = 6.3663 Å, b = 9.4289 Å, c = 12.6421 Å
α = 90.00°, β = 90.00°, γ = 90.00°
Space group Fmmm (No. 69)
Unique sites:
Pu: 0.0000 0.0000 0.0000
Pa: 0.0000 0.0000 0.2547
Pa: 0.2500 0.2500 0.1166
Ti: 0.0000 0.0000 0.5000

=====

Computed powder XRD pattern of AcPtS2O8 for a wavelength of 1.5418 Å, from a PBE-relaxed structure.

Most intense lines, 10° ≤ 2θ ≤ 90°, sorted by position:
Position (°2θ)	I/Imax	(hkl)
19.5	100	1 0 0
22.5	24	0 0 2
30.0	91	0 1 2
34.0	43	1 1 0
41.2	40	1 1 2
46.0	45	0 0 4
50.4	20	1 0 4
58.4	42	1 1 4

Cell and atoms:
a = 5.2678 Å, b = 5.2678 Å, c = 7.8847 Å
α = 90.00°, β = 90.00°, γ = 120.00°
Space group P-3m1 (No. 164)
Unique sites:
Ac: 0.0000 0.0000 0.0000
Pt: 0.0000 0.0000 0.5000
S: 0.3333 0.6667 0.2065
O: 0.1778 0.3556 0.2631
O: 0.3333 0.6667 0.0140

=====

Computed powder XRD pattern of TmU3S4 for a wavelength of 1.5418 Å, from a PBE-relaxed structure.

Most intense lines, 10° ≤ 2θ ≤ 90°, sorted by position:
Position (°2θ)	I/Imax	(hkl)
28.0	26	2 0 0
28.3	51	1 2 -1
28.6	25	0 0 2
32.8	100	1 2 1
46.7	25	3 2 -1
47.1	24	2 0 2
47.5	24	1 2 -3
58.6	13	2 4 -2

Cell and atoms:
a = 6.7544 Å, b = 7.7158 Å, c = 6.6141 Å
α = 90.00°, β = 109.53°, γ = 90.00°
Space group P2/c (No. 13)
Unique sites:
Tm: 0.0000 0.1253 0.2500
U: 0.0000 0.3768 0.7500
U: 0.5000 0.1252 0.7500
U: 0.5000 0.3760 0.2500
S: 0.2447 0.1233 0.9992
S: 0.2470 0.3716 0.4981

=====

Computed powder XRD pattern of Pr2Al3Zn4Ag for a wavelength of 1.5418 Å, from a PBE-relaxed structure.

Most intense lines, 10° ≤ 2θ ≤ 90°, sorted by position:
Position (°2θ)	I/Imax	(hkl)
22.2	20	1 0 1
32.4	50	1 0 3
33.7	100	1 1 2
41.8	46	2 0 0
47.1	25	1 0 5
53.9	23	2 1 3
64.8	18	2 1 5
71.2	22	3 1 2

Cell and atoms:
a = 4.3178 Å, b = 4.3178 Å, c = 10.7762 Å
α = 90.00°, β = 90.00°, γ = 90.00°
Space group P-4m2 (No. 115)
Unique sites:
Pr: 0.0000 0.5000 0.2444
Al: 0.0000 0.5000 0.8686
Al: 0.5000 0.5000 0.5000
Zn: 0.0000 0.0000 0.0000
Zn: 0.0000 0.5000 0.6379
Zn: 0.5000 0.5000 0.0000
Ag: 0.0000 0.0000 0.5000

=====

Computed powder XRD pattern of Tb4Sm2YTm2 for a wavelength of 1.5418 Å, from a PBE-relaxed structure.

Most intense lines, 10° ≤ 2θ ≤ 90°, sorted by position:
Position (°2θ)	I/Imax	(hkl)
30.7	100	6 0 1
35.6	51	3 1 2
51.3	30	9 1 0
61.0	25	9 1 3
61.1	14	6 2 1
64.0	6	12 0 2
83.7	12	15 1 1
86.4	8	12 2 2

Cell and atoms:
a = 18.5205 Å, b = 3.5567 Å, c = 8.7361 Å
α = 90.00°, β = 90.08°, γ = 90.00°
Space group C2/m (No. 12)
Unique sites:
Tb: 0.0562 0.0000 0.1680
Tb: 0.2218 0.5000 0.1690
Sm: 0.1116 0.5000 0.8308
Y: 0.0000 0.5000 0.5000
Tm: 0.1676 0.0000 0.4992

=====

Computed powder XRD pattern of TbSm2DyHo5 for a wavelength of 1.5418 Å, from a PBE-relaxed structure.

Most intense lines, 10° ≤ 2θ ≤ 90°, sorted by position:
Position (°2θ)	I/Imax	(hkl)
28.9	47	2 1 3
29.3	51	2 2 0
31.0	100	2 0 4
38.1	16	3 2 1
43.6	20	4 0 2
46.9	22	0 0 8
53.1	22	4 2 4
56.3	18	2 2 8

Cell and atoms:
a = 8.6195 Å, b = 8.6195 Å, c = 15.5012 Å
α = 90.00°, β = 90.00°, γ = 90.00°
Space group I4/mcm (No. 140)
Unique sites:
Tb: 0.0000 0.0000 0.2500
Sm: 0.1172 0.3828 0.0000
Dy: 0.0000 0.5000 0.2500
Ho: 0.0000 0.0000 0.0000
Ho: 0.2103 0.2897 0.3613